No. 1
Diffraction record for Sm3Y4Te8. The powder diffractogram is calculated, not measured: it uses a cell relaxed with GGA-PBE and Cu Kα (λ = 1.5418 Å).

Crystal structure
```
data_Sm3Y4Te8
_space_group_name_H-M_alt 'C 1 2/m 1'
_space_group_IT_number 12
_space_group_name_Hall '-C 2y'
_cell_length_a 12.404
_cell_length_b 12.409
_cell_length_c 8.770
_cell_angle_alpha 90.00
_cell_angle_beta 134.95
_cell_angle_gamma 90.00
loop_
_atom_site_label
_atom_site_type_symbol
_atom_site_fract_x
_atom_site_fract_y
_atom_site_fract_z
_atom_site_occupancy
Sm1 Sm 0.000 0.000 0.000 1
Sm2 Sm 0.250 0.250 0.000 1
Y1 Y 0.000 0.500 0.000 1
Y2 Y 0.000 0.500 0.500 1
Y3 Y 0.250 0.250 0.500 1
Te1 Te 0.000 0.246 0.500 1
Te2 Te 0.000 0.252 0.000 1
Te3 Te 0.248 0.000 0.504 1
Te4 Te 0.248 0.000 0.993 1
```

Most intense lines, 10° ≤ 2θ ≤ 80°, by intensity:
| d (Å) | I (rel.) | (hkl) |
| --- | --- | --- |
| 3.102 | 100 | 0 4 0 |
| 2.194 | 75 | 4 0 0 |
| 1.387 | 34 | 4 0 2 |
| 1.791 | 27 | 4 4 0 |
| 1.266 | 25 | 4 4 2 |
| 1.551 | 12 | 0 8 0 |


No. 2
Diffraction record for Cu3Pt2. The powder diffractogram is calculated, not measured: it uses a cell relaxed with GGA-PBE and Cu Kα (λ = 1.5418 Å).

Crystal structure
```
data_Cu3Pt2
_space_group_name_H-M_alt 'P 1 2/m 1'
_space_group_IT_number 10
_space_group_name_Hall '-P 2y'
_cell_length_a 6.556
_cell_length_b 2.731
_cell_length_c 7.893
_cell_angle_alpha 90.00
_cell_angle_beta 105.41
_cell_angle_gamma 90.00
loop_
_atom_site_label
_atom_site_type_symbol
_atom_site_fract_x
_atom_site_fract_y
_atom_site_fract_z
_atom_site_occupancy
Cu1 Cu 0.099 0.000 0.307 1
Cu2 Cu 0.193 0.500 0.591 1
Cu3 Cu 0.396 0.500 0.202 1
Pt1 Pt 0.000 0.500 0.000 1
Pt2 Pt 0.300 0.000 0.888 1
Pt3 Pt 0.500 0.000 0.500 1
```

Most intense lines, 10° ≤ 2θ ≤ 80°, by intensity:
| d (Å) | I (rel.) | (hkl) |
| --- | --- | --- |
| 2.203 | 100 | 1 1 -2 |
| 1.912 | 65 | 2 1 1 |
| 2.185 | 49 | 3 0 -1 |
| 2.164 | 47 | 1 0 3 |
| 1.339 | 29 | 4 0 2 |
| 1.863 | 29 | 2 0 -4 |


No. 3
Diffraction record for Pm15DySc4. The powder diffractogram is calculated, not measured: it uses a cell relaxed with GGA-PBE and Cu Kα (λ = 1.5418 Å).

Crystal structure
```
data_Pm15DySc4
_space_group_name_H-M_alt 'P 4/m m m'
_space_group_IT_number 123
_space_group_name_Hall '-P 4 2'
_cell_length_a 5.045
_cell_length_b 5.045
_cell_length_c 25.144
_cell_angle_alpha 90.00
_cell_angle_beta 90.00
_cell_angle_gamma 90.00
loop_
_atom_site_label
_atom_site_type_symbol
_atom_site_fract_x
_atom_site_fract_y
_atom_site_fract_z
_atom_site_occupancy
Pm1 Pm 0.000 0.000 0.000 1
Pm2 Pm 0.000 0.000 0.202 1
Pm3 Pm 0.000 0.000 0.401 1
Pm4 Pm 0.000 0.500 0.103 1
Pm5 Pm 0.000 0.500 0.302 1
Pm6 Pm 0.000 0.500 0.500 1
Dy1 Dy 0.500 0.500 0.000 1
Sc1 Sc 0.500 0.500 0.202 1
Sc2 Sc 0.500 0.500 0.401 1
```

Most intense lines, 10° ≤ 2θ ≤ 80°, by intensity:
| d (Å) | I (rel.) | (hkl) |
| --- | --- | --- |
| 2.910 | 100 | 1 1 5 |
| 1.782 | 35 | 2 2 0 |
| 2.523 | 34 | 2 0 0 |
| 1.521 | 28 | 3 1 5 |
| 2.514 | 17 | 0 0 10 |
| 1.517 | 14 | 1 1 15 |